[1]
Starting from a PBE-relaxed structure, the powder XRD pattern of RbSn2Au4 was simulated for Cu Ka.

Atomic structure:
Cell: 9.266 9.266 8.258 Å, 90.00 90.00 90.00°
Space group I4/mcm (No. 140)
Unique sites:
1 Rb 0.000 0.000 0.250 (multiplicity 4)
2 Sn 0.139 0.361 0.000 (multiplicity 8)
3 Au 0.152 0.348 0.334 (multiplicity 16)

Principal peaks in the range 2θ = 5–70°, in order of falling intensity:
Position (°2θ)	Rel. int.
39.29	100
30.51	68
13.51	39
63.79	37
41.34	24
38.88	24
52.57	15
19.16	11



[2]
Starting from a PBE-relaxed structure, the powder XRD pattern of Rb2Sn4Au3 was simulated for Cu Ka.

Atomic structure:
Cell: 6.382 11.984 13.927 Å, 90.00 90.00 90.00°
Space group Fmmm (No. 69)
Unique sites:
1 Rb 0.000 0.000 0.131 (multiplicity 8)
2 Sn 0.000 0.177 0.349 (multiplicity 16)
3 Au 0.000 0.000 0.500 (multiplicity 4)
4 Au 0.250 0.250 0.000 (multiplicity 8)

Principal peaks in the range 2θ = 5–70°, in order of falling intensity:
Position (°2θ)	Rel. int.
32.74	100
34.35	65
12.71	63
41.23	37
52.57	35
32.54	32
16.98	31
38.26	30



[3]
Starting from a PBE-relaxed structure, the powder XRD pattern of Rb3Sn8Au3 was simulated for Cu Ka.

Atomic structure:
Cell: 19.347 4.473 11.419 Å, 90.00 111.66 90.00°
Space group C2/m (No. 12)
Unique sites:
1 Rb 0.000 0.000 0.000 (multiplicity 2)
2 Rb 0.216 0.500 0.678 (multiplicity 4)
3 Sn 0.029 0.500 0.687 (multiplicity 4)
4 Sn 0.109 0.500 0.253 (multiplicity 4)
5 Sn 0.117 0.000 0.419 (multiplicity 4)
6 Sn 0.180 0.000 0.934 (multiplicity 4)
7 Au 0.000 0.000 0.500 (multiplicity 2)
8 Au 0.177 0.500 0.079 (multiplicity 4)

Principal peaks in the range 2θ = 5–70°, in order of falling intensity:
Position (°2θ)	Rel. int.
27.69	100
15.08	56
40.34	51
39.50	51
28.28	31
33.95	16
31.16	15
49.99	14



[4]
Starting from a PBE-relaxed structure, the powder XRD pattern of Rb2TcAu was simulated for Cu Ka.

Atomic structure:
Cell: 12.564 12.564 5.237 Å, 90.00 90.00 90.00°
Space group I-42d (No. 122)
Unique sites:
1 Rb 0.087 0.250 0.125 (multiplicity 8)
2 Tc 0.000 0.000 0.500 (multiplicity 4)
3 Au 0.000 0.000 0.000 (multiplicity 4)

Principal peaks in the range 2θ = 5–70°, in order of falling intensity:
Position (°2θ)	Rel. int.
14.10	100
31.85	69
41.29	41
28.42	35
18.35	35
19.99	34
35.75	33
50.89	24



[5]
Starting from a PBE-relaxed structure, the powder XRD pattern of RbTe4Au was simulated for Cu Ka.

Atomic structure:
Cell: 11.917 8.256 10.832 Å, 90.00 116.55 90.00°
Space group C2/c (No. 15)
Unique sites:
1 Rb 0.000 0.104 0.250 (multiplicity 4)
2 Te 0.160 0.317 0.717 (multiplicity 8)
3 Te 0.196 0.490 0.441 (multiplicity 8)
4 Au 0.000 0.500 0.000 (multiplicity 4)

Principal peaks in the range 2θ = 5–70°, in order of falling intensity:
Position (°2θ)	Rel. int.
13.57	100
28.42	76
25.72	53
40.41	35
37.38	33
25.91	28
23.42	27
24.96	25



[6]
Starting from a PBE-relaxed structure, the powder XRD pattern of Rb12TeAu6 was simulated for Cu Ka.

Atomic structure:
Cell: 12.083 12.083 12.083 Å, 90.00 90.00 90.00°
Space group Im-3 (No. 204)
Unique sites:
1 Rb 0.000 0.177 0.300 (multiplicity 24)
2 Te 0.000 0.000 0.000 (multiplicity 2)
3 Au 0.000 0.380 0.500 (multiplicity 12)

Principal peaks in the range 2θ = 5–70°, in order of falling intensity:
Position (°2θ)	Rel. int.
27.62	100
37.97	52
14.66	42
31.41	22
10.35	20
45.02	18
66.58	16
48.85	16



[7]
Starting from a PBE-relaxed structure, the powder XRD pattern of RbTh4Te12Au3 was simulated for Cu Ka.

Atomic structure:
Cell: 11.396 11.396 11.396 Å, 90.00 90.00 90.00°
Space group Im-3 (No. 204)
Unique sites:
1 Rb 0.000 0.000 0.000 (multiplicity 2)
2 Th 0.250 0.250 0.250 (multiplicity 8)
3 Te 0.000 0.322 0.164 (multiplicity 24)
4 Au 0.000 0.000 0.500 (multiplicity 6)

Principal peaks in the range 2θ = 5–70°, in order of falling intensity:
Position (°2θ)	Rel. int.
38.71	100
22.06	75
24.70	45
31.40	33
50.66	29
60.83	23
29.32	21
46.46	21



[8]
Starting from a PBE-relaxed structure, the powder XRD pattern of RbUTe3Au was simulated for Cu Ka.

Atomic structure:
Cell: 4.420 16.553 11.414 Å, 90.00 90.00 90.00°
Space group Cmcm (No. 63)
Unique sites:
1 Rb 0.000 0.245 0.250 (multiplicity 4)
2 U 0.000 0.000 0.000 (multiplicity 4)
3 Te 0.000 0.069 0.750 (multiplicity 4)
4 Te 0.000 0.373 0.547 (multiplicity 8)
5 Au 0.000 0.463 0.750 (multiplicity 4)

Principal peaks in the range 2θ = 5–70°, in order of falling intensity:
Position (°2θ)	Rel. int.
10.69	100
30.27	63
27.00	48
37.42	35
31.35	30
40.83	21
25.81	21
47.78	18



[9]
Starting from a PBE-relaxed structure, the powder XRD pattern of Rb12TlAu5 was simulated for Cu Ka.

Atomic structure:
Cell: 11.606 11.995 12.827 Å, 90.00 90.00 90.00°
Space group Immm (No. 71)
Unique sites:
1 Rb 0.000 0.191 0.223 (multiplicity 8)
2 Rb 0.191 0.500 0.169 (multiplicity 8)
3 Rb 0.212 0.321 0.500 (multiplicity 8)
4 Tl 0.000 0.000 0.500 (multiplicity 2)
5 Au 0.000 0.000 0.000 (multiplicity 2)
6 Au 0.000 0.368 0.000 (multiplicity 4)
7 Au 0.000 0.500 0.387 (multiplicity 4)

Principal peaks in the range 2θ = 5–70°, in order of falling intensity:
Position (°2θ)	Rel. int.
27.39	100
25.48	99
27.98	78
26.95	75
15.27	74
30.82	48
13.81	46
47.46	38



[10]
Starting from a PBE-relaxed structure, the powder XRD pattern of Rb6TlAu was simulated for Cu Ka.

Atomic structure:
Cell: 4.879 14.055 15.621 Å, 90.00 90.00 90.00°
Space group Amm2 (No. 38)
Unique sites:
1 Rb 0.000 0.000 0.000 (multiplicity 2)
2 Rb 0.000 0.152 0.708 (multiplicity 4)
3 Rb 0.500 0.000 0.269 (multiplicity 2)
4 Rb 0.500 0.214 0.468 (multiplicity 4)
5 Tl 0.000 0.000 0.491 (multiplicity 2)
6 Au 0.500 0.000 0.591 (multiplicity 2)

Principal peaks in the range 2θ = 5–70°, in order of falling intensity:
Position (°2θ)	Rel. int.
8.46	100
24.97	43
11.33	22
12.60	20
32.00	19
25.81	17
31.56	16
41.36	14



[11]
Starting from a PBE-relaxed structure, the powder XRD pattern of Rb2Tl7Au was simulated for Cu Ka.

Atomic structure:
Cell: 5.438 5.438 12.238 Å, 90.00 90.00 90.00°
Space group P-4m2 (No. 115)
Unique sites:
1 Rb 0.000 0.500 0.238 (multiplicity 2)
2 Tl 0.000 0.000 0.000 (multiplicity 1)
3 Tl 0.000 0.000 0.500 (multiplicity 1)
4 Tl 0.000 0.500 0.637 (multiplicity 2)
5 Tl 0.000 0.500 0.891 (multiplicity 2)
6 Tl 0.500 0.500 0.500 (multiplicity 1)
7 Au 0.500 0.500 0.000 (multiplicity 1)

Principal peaks in the range 2θ = 5–70°, in order of falling intensity:
Position (°2θ)	Rel. int.
27.37	100
32.94	67
37.57	58
14.48	31
61.90	30
17.85	27
47.27	25
55.49	23



[12]
Starting from a PBE-relaxed structure, the powder XRD pattern of RbTl5Au3 was simulated for Cu Ka.

Atomic structure:
Cell: 4.522 15.573 15.847 Å, 90.00 90.00 90.00°
Space group Cmcm (No. 63)
Unique sites:
1 Rb 0.000 0.174 0.250 (multiplicity 4)
2 Tl 0.000 0.000 0.000 (multiplicity 4)
3 Tl 0.000 0.197 0.580 (multiplicity 8)
4 Tl 0.000 0.469 0.150 (multiplicity 8)
5 Au 0.000 0.119 0.750 (multiplicity 4)
6 Au 0.000 0.374 0.532 (multiplicity 8)

Principal peaks in the range 2θ = 5–70°, in order of falling intensity:
Position (°2θ)	Rel. int.
28.49	100
39.89	93
36.83	83
35.03	75
11.17	65
12.67	61
26.57	57
34.71	49